Starting from a structure optimized by DFT (PBE), the powder diffractogram of Cu4As2O9 was simulated for Cu Kα (weighted mean of Kα1 and Kα2).
No peak broadening, texture or thermal motion is included.

Cell lengths 6.4331, 7.8942, 8.3827 Å; angles 99.06, 111.70, 97.45 degrees
Space group P-1 (No. 2)
One atom of each set of equivalent atoms:
Cu 0.1088 0.3472 0.2349 x2
Cu 0.1399 0.8780 0.5877 x2
Cu 0.3431 0.8288 0.0503 x2
Cu 0.3618 0.6040 0.7448 x2
As 0.1358 0.2322 0.8502 x2
As 0.4955 0.7100 0.4133 x2
O 0.0060 0.9286 0.3445 x2
O 0.0288 0.7654 0.0239 x2
O 0.1727 0.4397 0.8167 x2
O 0.1907 0.7760 0.7949 x2
O 0.2276 0.3049 0.4709 x2
O 0.3409 0.7238 0.5443 x2
O 0.3791 0.1735 0.9881 x2
O 0.3809 0.5096 0.2539 x2
O 0.4899 0.8776 0.3048 x2

Most intense lines, 10 to 90 degrees two-theta, by angle:
d [Å], Rel. int., hkl
3.815, 100.0, 0 2 0
3.760, 56.6, 0 2 -1
3.133, 74.9, 0 1 2
3.053, 55.3, 0 2 -2
2.939, 45.4, 2 -1 0
2.816, 67.5, 2 1 -1
2.805, 46.6, 1 -1 2
2.787, 44.5, -2 1 2
2.725, 59.3, 2 1 -2
2.366, 47.1, 0 2 -3

=====

Starting from a structure optimized by DFT (PBE), the powder diffractogram of Li2CoNi was simulated for Cu Kα (weighted mean of Kα1 and Kα2).
No peak broadening, texture or thermal motion is included.

Cell lengths 8.7104, 2.4758, 4.3207 Å; angles 90.00, 99.31, 90.00 degrees
Space group C2/m (No. 12)
One atom of each set of equivalent atoms:
Li 0.2479 0.0000 0.2485 x4
Co 0.0000 0.0000 0.5000 x2
Ni 0.0000 0.5000 0.0000 x2

Most intense lines, 10 to 90 degrees two-theta, by angle:
d [Å], Rel. int., hkl
4.298, 100.0, 2 0 0
2.149, 20.9, 4 0 0
2.132, 14.8, 0 0 2
2.118, 28.9, 1 1 -1
2.046, 17.9, 2 0 -2
2.039, 35.4, 1 1 1
1.798, 11.7, 2 0 2
1.786, 22.8, 3 1 -1
1.652, 18.6, 3 1 1
1.290, 10.6, 5 1 1